The following is a theoretical PXRD pattern of YNpCr2O8. It was derived from a structure optimized by DFT (PBE+U), using Cu Kα (weighted mean of Kα1 and Kα2).
Peak positions follow from Bragg's law for the DFT cell and can differ from measured ones.

Structure:
a b c (Å): 4.784 4.784 6.632
angles (deg): 90.00 90.00 90.78
Sites, in units of the cell vectors:
Y (0.000, 0.000, 0.000)
Np (0.000, 0.000, 0.500)
Cr (0.500, 0.500, 0.239)
Cr (0.500, 0.500, 0.761)
O (0.202, 0.202, 0.271)
O (0.202, 0.202, 0.729)
O (0.302, 0.698, 0.500)
O (0.324, 0.676, 0.000)
O (0.676, 0.324, 0.000)
O (0.698, 0.302, 0.500)
O (0.798, 0.798, 0.271)
O (0.798, 0.798, 0.729)

Top 6 peaks for 5° ≤ 2θ ≤ 70°, sorted by position:
- 2θ = 18.5°, I 57
- 2θ = 26.2°, I 63
- 2θ = 26.5°, I 58
- 2θ = 32.9°, I 100
- 2θ = 50.6°, I 43
- 2θ = 51.0°, I 39